Entry 1:
Theoretical XRD peak list of CoOs for Cu Kα (λ = 1.5418 Å), from a crystal structure in OQMD, relaxed with GGA-PBE.

The 10 most intense peaks (15° ≤ 2θ ≤ 90°), sorted by position:
2θ/deg, intensity, (hkl)
21.25, 468, 0 0 3
40.08, 289, 1 0 1
42.05, 1000, 0 1 2
43.29, 307, 0 0 6
49.32, 628, 1 0 4
54.28, 126, 0 1 5
71.44, 205, 1 1 0
73.20, 191, 0 1 8
86.52, 126, 2 0 2
87.35, 246, 1 1 6

Atomic structure:
```
CoOs
1.0
2.641 0.000 0.000
-1.320 2.287 0.000
0.000 0.000 12.541
Co Os
3 3
direct
0.000 0.000 0.000
0.333 0.667 0.667
0.667 0.333 0.333
0.000 0.000 0.500
0.333 0.667 0.167
0.667 0.333 0.833
```

Entry 2:
Theoretical XRD peak list of Pr2CoSi2Os for Cu Kα (λ = 1.5418 Å), from a crystal structure in OQMD, relaxed with GGA-PBE.

The 10 most intense peaks (15° ≤ 2θ ≤ 90°), sorted by position:
2θ/deg, intensity, (hkl)
25.08, 930, 1 0 1
33.26, 714, 1 0 2
33.42, 949, 1 1 1
37.70, 315, 0 0 3
40.09, 1000, 1 1 2
44.30, 628, 2 0 0
51.58, 273, 2 1 1
56.51, 315, 2 1 2
59.54, 333, 2 0 3
78.67, 275, 3 1 2

Atomic structure:
```
Pr2CoSi2Os
1.0
4.089 0.000 0.000
0.000 4.089 0.000
0.000 0.000 7.159
Pr Co Si Os
2 1 2 1
direct
0.000 0.500 0.178
0.500 0.000 0.822
0.000 0.000 0.500
0.000 0.500 0.672
0.500 0.000 0.328
0.500 0.500 0.500
```

Entry 3:
Theoretical XRD peak list of CoSiOsPt for Cu Kα (λ = 1.5418 Å), from a crystal structure in OQMD, relaxed with GGA-PBE.

The 7 most intense peaks (15° ≤ 2θ ≤ 90°), sorted by position:
2θ/deg, intensity, (hkl)
25.64, 474, 1 1 1
42.49, 1000, 2 2 0
50.29, 243, 3 1 1
61.66, 166, 4 0 0
67.90, 101, 3 3 1
77.75, 340, 4 2 2
83.47, 79, 5 1 1

Atomic structure:
```
CoSiOsPt
1.0
6.017 0.000 0.000
0.000 6.017 0.000
0.000 0.000 6.017
Co Si Os Pt
4 4 4 4
direct
0.000 0.000 0.000
0.000 0.500 0.500
0.500 0.000 0.500
0.500 0.500 0.000
0.250 0.250 0.750
0.250 0.750 0.250
0.750 0.250 0.250
0.750 0.750 0.750
0.000 0.000 0.500
0.000 0.500 0.000
0.500 0.000 0.000
0.500 0.500 0.500
0.250 0.250 0.250
0.250 0.750 0.750
0.750 0.250 0.750
0.750 0.750 0.250
```